(1)
Be2InAsO6: simulated XRD peak list (Cu Kα X-rays), based on a GGA-PBE-relaxed structure.

Most intense lines, 2θ from 15° to 90°, by intensity:
2θ/deg, I_rel
19.75, 100
29.43, 66
42.59, 64
27.41, 40
35.44, 37
35.74, 19
55.03, 17
31.67, 17

Structure:
```
Be2InAsO6
1.0
4.911 -4.245 0.000
4.911 4.245 0.000
-2.232 0.000 5.066
Be In As O
4 2 2 12
Direct
0.127 0.268 0.140 Be
0.268 0.127 0.640 Be
0.732 0.873 0.360 Be
0.873 0.732 0.860 Be
0.401 0.599 0.750 In
0.599 0.401 0.250 In
0.209 0.791 0.250 As
0.791 0.209 0.750 As
0.086 0.213 0.807 O
0.131 0.685 0.898 O
0.213 0.086 0.307 O
0.273 0.482 0.305 O
0.315 0.869 0.602 O
0.482 0.273 0.805 O
0.518 0.727 0.195 O
0.685 0.131 0.398 O
0.727 0.518 0.695 O
0.787 0.914 0.693 O
0.869 0.315 0.102 O
0.914 0.787 0.193 O
```

***

(2)
Cu3SnSe4: simulated XRD peak list (Cu Kα X-rays), based on a GGA-PBE-relaxed structure.

Most intense lines, 2θ from 15° to 90°, by intensity:
2θ/deg, I_rel
27.12, 100
45.02, 73
53.40, 29
83.14, 15
53.25, 14
72.28, 11
82.96, 7
65.65, 7

Structure:
```
Cu3SnSe4
1.0
5.688 0.000 0.000
0.000 5.688 0.000
0.000 0.000 11.418
Cu Sn Se
6 2 8
Direct
0.000 0.000 0.000 Cu
0.000 0.500 0.250 Cu
0.000 0.500 0.750 Cu
0.500 0.000 0.250 Cu
0.500 0.000 0.750 Cu
0.500 0.500 0.500 Cu
0.000 0.000 0.500 Sn
0.500 0.500 0.000 Sn
0.234 0.234 0.867 Se
0.234 0.766 0.133 Se
0.266 0.266 0.367 Se
0.266 0.734 0.633 Se
0.734 0.266 0.633 Se
0.734 0.734 0.367 Se
0.766 0.234 0.133 Se
0.766 0.766 0.867 Se
```

***

(3)
SmPaAs2Rh5: simulated XRD peak list (Cu Kα X-rays), based on a GGA-PBE-relaxed structure.

Most intense lines, 2θ from 15° to 90°, by intensity:
2θ/deg, I_rel
42.90, 100
34.63, 94
45.09, 80
23.22, 70
38.26, 62
22.11, 53
64.21, 33
81.69, 31

Structure:
```
SmPaAs2Rh5
1.0
4.021 0.000 0.000
0.000 4.021 0.000
0.000 0.000 12.567
Sm Pa As Rh
1 1 2 5
Direct
0.000 0.000 0.000 Sm
0.500 0.500 0.500 Pa
0.500 0.500 0.276 As
0.500 0.500 0.724 As
0.000 0.500 0.170 Rh
0.000 0.500 0.830 Rh
0.500 0.000 0.170 Rh
0.500 0.000 0.830 Rh
0.500 0.500 0.000 Rh
```

***

(4)
TiAg2I6O18: simulated XRD peak list (Cu Kα X-rays), based on a GGA-PBE-relaxed structure.

Most intense lines, 2θ from 15° to 90°, by intensity:
2θ/deg, I_rel
27.98, 100
23.98, 59
34.52, 49
25.69, 49
27.86, 46
49.96, 24
52.01, 24
43.90, 19

Structure:
```
TiAg2I6O18
1.0
5.547 3.203 3.897
-5.547 3.203 3.897
0.000 -6.405 3.897
Ti Ag I O
1 2 6 18
Direct
0.000 0.000 0.000 Ti
0.308 0.308 0.308 Ag
0.692 0.692 0.692 Ag
0.170 0.370 0.779 I
0.221 0.830 0.630 I
0.370 0.779 0.170 I
0.630 0.221 0.830 I
0.779 0.170 0.370 I
0.830 0.630 0.221 I
0.066 0.817 0.818 O
0.140 0.216 0.570 O
0.182 0.934 0.183 O
0.183 0.182 0.934 O
0.188 0.585 0.570 O
0.216 0.570 0.140 O
0.415 0.430 0.812 O
0.430 0.812 0.415 O
0.430 0.860 0.784 O
0.570 0.140 0.216 O
0.570 0.188 0.585 O
0.585 0.570 0.188 O
0.784 0.430 0.860 O
0.812 0.415 0.430 O
0.817 0.818 0.066 O
0.818 0.066 0.817 O
0.860 0.784 0.430 O
0.934 0.183 0.182 O
```